Starting from the GGA-PBE geometry in Alexandria, the X-ray diffraction stick pattern of Pr5Tl2O2 was simulated for Cu Kα (λ = 1.5418 Å).

Main lines, sorted by position (15 to 90 degrees two-theta):
two_theta, intensity
30.97, 74
31.13, 100
35.51, 62
36.97, 29
52.20, 34
61.15, 22

Structural model:
a = 10.962 Å, b = 10.962 Å, c = 10.962 Å
α = 142.09°, β = 54.93°, γ = 141.78°
Positions (direct):
Pr 0.000 0.000 0.500
Pr 0.000 0.500 0.000
Pr 0.211 0.074 0.138
Pr 0.238 0.000 0.738
Pr 0.238 0.500 0.238
Pr 0.436 0.074 0.362
Pr 0.564 0.926 0.638
Pr 0.762 0.000 0.262
Pr 0.762 0.500 0.762
Pr 0.789 0.926 0.862
Tl 0.106 0.479 0.627
Tl 0.352 0.479 0.873
Tl 0.648 0.521 0.127
Tl 0.894 0.521 0.373
O 0.000 0.000 0.000
O 0.225 0.975 0.250
O 0.500 0.000 0.500
O 0.775 0.025 0.750

Starting from the GGA-PBE geometry in Alexandria, the X-ray diffraction stick pattern of KPa2PN5 was simulated for Cu Kα (λ = 1.5418 Å).

Main lines, sorted by position (15 to 90 degrees two-theta):
two_theta, intensity
16.69, 100
30.91, 85
31.50, 99
39.31, 69
57.16, 42
62.74, 33

Structural model:
a = 7.128 Å, b = 7.128 Å, c = 7.128 Å
α = 123.74°, β = 123.74°, γ = 83.64°
Positions (direct):
K 0.250 0.250 0.000
K 0.750 0.750 0.000
Pa 0.192 0.692 0.885
Pa 0.308 0.192 0.500
Pa 0.692 0.808 0.500
Pa 0.808 0.308 0.115
P 0.250 0.750 0.500
P 0.750 0.250 0.500
N 0.000 0.000 0.000
N 0.014 0.774 0.500
N 0.226 0.726 0.240
N 0.274 0.514 0.500
N 0.486 0.986 0.760
N 0.500 0.500 0.000
N 0.514 0.014 0.240
N 0.726 0.486 0.500
N 0.774 0.274 0.760
N 0.986 0.226 0.500

Starting from the GGA-PBE geometry in Alexandria, the X-ray diffraction stick pattern of RbCdBi2Te4 was simulated for Cu Kα (λ = 1.5418 Å).

Main lines, sorted by position (15 to 90 degrees two-theta):
two_theta, intensity
24.11, 25
26.36, 49
27.94, 85
28.96, 27
38.57, 100
64.42, 24

Structural model:
a = 8.047 Å, b = 8.047 Å, c = 16.825 Å
α = 90.00°, β = 90.00°, γ = 146.32°
Positions (direct):
Rb 0.124 0.876 0.750
Rb 0.876 0.124 0.250
Cd 0.163 0.837 0.250
Cd 0.837 0.163 0.750
Bi 0.372 0.628 0.561
Bi 0.372 0.628 0.939
Bi 0.628 0.372 0.061
Bi 0.628 0.372 0.439
Te 0.000 0.000 0.000
Te 0.000 0.000 0.500
Te 0.261 0.739 0.104
Te 0.261 0.739 0.396
Te 0.442 0.558 0.750
Te 0.558 0.442 0.250
Te 0.739 0.261 0.604
Te 0.739 0.261 0.896

Starting from the GGA-PBE geometry in Alexandria, the X-ray diffraction stick pattern of PmMg4Cd4 was simulated for Cu Kα (λ = 1.5418 Å).

Main lines, sorted by position (15 to 90 degrees two-theta):
two_theta, intensity
28.44, 100
31.56, 63
38.39, 60
38.54, 41
42.72, 52
55.58, 43

Structural model:
a = 6.611 Å, b = 6.611 Å, c = 9.981 Å
α = 90.00°, β = 90.00°, γ = 90.00°
Positions (direct):
Pm 0.250 0.750 0.250
Pm 0.750 0.250 0.750
Mg 0.028 0.250 0.172
Mg 0.250 0.028 0.672
Mg 0.250 0.472 0.672
Mg 0.472 0.250 0.172
Mg 0.528 0.750 0.828
Mg 0.750 0.528 0.328
Mg 0.750 0.972 0.328
Mg 0.972 0.750 0.828
Cd 0.022 0.250 0.465
Cd 0.250 0.022 0.965
Cd 0.250 0.478 0.965
Cd 0.478 0.250 0.465
Cd 0.522 0.750 0.535
Cd 0.750 0.522 0.035
Cd 0.750 0.978 0.035
Cd 0.978 0.750 0.535

Starting from the GGA-PBE geometry in Alexandria, the X-ray diffraction stick pattern of Cu4TeSBr2 was simulated for Cu Kα (λ = 1.5418 Å).

Main lines, sorted by position (15 to 90 degrees two-theta):
two_theta, intensity
26.42, 77
26.89, 100
30.03, 65
45.14, 73
47.79, 49
48.93, 77

Structural model:
a = 7.485 Å, b = 7.142 Å, c = 6.748 Å
α = 90.00°, β = 90.00°, γ = 90.00°
Positions (direct):
Cu 0.000 0.123 0.000
Cu 0.000 0.841 0.465
Cu 0.219 0.676 0.007
Cu 0.281 0.324 0.507
Cu 0.500 0.159 0.965
Cu 0.500 0.877 0.500
Cu 0.719 0.324 0.507
Cu 0.781 0.676 0.007
Te 0.000 0.159 0.630
Te 0.500 0.841 0.130
S 0.000 0.841 0.137
S 0.500 0.159 0.637
Br 0.249 0.341 0.132
Br 0.251 0.659 0.632
Br 0.749 0.659 0.632
Br 0.751 0.341 0.132

Starting from the GGA-PBE geometry in Alexandria, the X-ray diffraction stick pattern of Y16Ho7Er6 was simulated for Cu Kα (λ = 1.5418 Å).

Main lines, sorted by position (15 to 90 degrees two-theta):
two_theta, intensity
27.81, 10
29.54, 13
32.22, 100
44.27, 9
46.21, 14
57.46, 26

Structural model:
a = 11.112 Å, b = 11.112 Å, c = 11.112 Å
α = 60.00°, β = 60.00°, γ = 60.00°
Positions (direct):
Y 0.047 0.651 0.651
Y 0.123 0.123 0.123
Y 0.123 0.123 0.632
Y 0.123 0.632 0.123
Y 0.349 0.349 0.349
Y 0.349 0.349 0.953
Y 0.349 0.953 0.349
Y 0.368 0.877 0.877
Y 0.632 0.123 0.123
Y 0.651 0.047 0.651
Y 0.651 0.651 0.047
Y 0.651 0.651 0.651
Y 0.877 0.368 0.877
Y 0.877 0.877 0.368
Y 0.877 0.877 0.877
Y 0.953 0.349 0.349
Ho 0.000 0.000 0.000
Ho 0.000 0.000 0.500
Ho 0.000 0.500 0.000
Ho 0.000 0.500 0.500
Ho 0.500 0.000 0.000
Ho 0.500 0.000 0.500
Ho 0.500 0.500 0.000
Er 0.273 0.273 0.727
Er 0.273 0.727 0.273
Er 0.273 0.727 0.727
Er 0.727 0.273 0.273
Er 0.727 0.273 0.727
Er 0.727 0.727 0.273

Starting from the GGA-PBE geometry in Alexandria, the X-ray diffraction stick pattern of Zr2Ti2Ag3 was simulated for Cu Kα (λ = 1.5418 Å).

Main lines, sorted by position (15 to 90 degrees two-theta):
two_theta, intensity
34.83, 26
36.37, 100
38.22, 82
41.12, 23
42.96, 71
63.27, 42

Structural model:
a = 2.988 Å, b = 30.731 Å, c = 2.980 Å
α = 90.00°, β = 90.00°, γ = 90.00°
Positions (direct):
Zr 0.000 0.201 0.000
Zr 0.000 0.799 0.000
Zr 0.500 0.299 0.000
Zr 0.500 0.701 0.000
Ti 0.000 0.366 0.500
Ti 0.000 0.634 0.500
Ti 0.500 0.134 0.500
Ti 0.500 0.866 0.500
Ag 0.000 0.067 0.000
Ag 0.000 0.500 0.500
Ag 0.000 0.933 0.000
Ag 0.500 0.000 0.500
Ag 0.500 0.433 0.000
Ag 0.500 0.567 0.000

Starting from the GGA-PBE geometry in Alexandria, the X-ray diffraction stick pattern of BiAsPd3Pb was simulated for Cu Kα (λ = 1.5418 Å).

Main lines, sorted by position (15 to 90 degrees two-theta):
two_theta, intensity
32.61, 100
33.49, 37
34.24, 86
35.20, 60
44.69, 49
44.92, 48

Structural model:
a = 7.773 Å, b = 7.773 Å, c = 5.873 Å
α = 100.25°, β = 100.25°, γ = 128.82°
Positions (direct):
Bi 0.238 0.762 0.750
Bi 0.762 0.238 0.250
As 0.026 0.974 0.250
As 0.974 0.026 0.750
Pd 0.186 0.354 0.580
Pd 0.206 0.794 0.250
Pd 0.354 0.186 0.080
Pd 0.646 0.814 0.920
Pd 0.794 0.206 0.750
Pd 0.814 0.646 0.420
Pb 0.406 0.594 0.250
Pb 0.594 0.406 0.750